# 1
Diffraction record for RbMgPO4. The X-ray powder pattern is computed, not measured: it uses a crystal structure in the Materials Project, relaxed with GGA-PBE and Cu Kα.
Peak positions follow from Bragg's law for the DFT cell and can differ from measured ones.

The 10 most intense peaks (10° ≤ 2θ ≤ 90°), by angle:
- d = 3.410 Å, 26.13 deg, I 88
- d = 3.318 Å, 26.87 deg, I 34
- d = 3.274 Å, 27.24 deg, I 100
- d = 3.102 Å, 28.78 deg, I 22
- d = 2.838 Å, 31.53 deg, I 19
- d = 2.758 Å, 32.46 deg, I 28
- d = 2.230 Å, 40.45 deg, I 15
- d = 2.061 Å, 43.92 deg, I 17
- d = 1.801 Å, 50.69 deg, I 20
- d = 1.675 Å, 54.79 deg, I 15

Cell and atoms:
```
28
Lattice="8.920 0.000 0.000 0.000 5.517 0.000 0.000 0.000 9.927" Properties=species:S:1:pos:R:3 pbc="T T T"
Rb 0.009 1.379 1.798
Rb 4.451 4.138 6.761
Rb 4.470 1.379 3.166
Rb 8.911 4.138 8.130
Mg 1.558 4.138 4.154
Mg 2.902 1.379 9.118
Mg 6.018 4.138 0.809
Mg 7.362 1.379 5.773
P 1.897 1.379 5.808
P 2.564 4.138 0.845
P 6.357 1.379 9.082
P 7.024 4.138 4.119
O 0.358 1.379 5.842
O 1.994 4.138 2.280
O 2.039 2.878 0.096
O 2.039 5.397 0.096
O 2.421 0.119 5.060
O 2.421 2.639 5.060
O 2.466 1.379 7.243
O 4.102 4.138 0.878
O 4.818 1.379 9.049
O 6.454 4.138 2.684
O 6.499 2.878 4.867
O 6.499 5.397 4.867
O 6.881 0.119 9.831
O 6.881 2.639 9.831
O 6.926 1.379 7.647
O 8.562 4.138 4.085
```

---

# 2
Diffraction record for Ca2BAsO8. The X-ray powder pattern is computed, not measured: it uses a crystal structure in the Materials Project, relaxed with GGA-PBE and Cu Kα.
Peak positions follow from Bragg's law for the DFT cell and can differ from measured ones.

The 10 most intense peaks (10° ≤ 2θ ≤ 90°), by angle:
- d = 5.045 Å, 17.58 deg, I 20
- d = 4.735 Å, 18.74 deg, I 22
- d = 3.567 Å, 24.96 deg, I 100
- d = 2.849 Å, 31.40 deg, I 17
- d = 2.681 Å, 33.43 deg, I 55
- d = 2.367 Å, 38.01 deg, I 20
- d = 2.226 Å, 40.52 deg, I 10
- d = 1.837 Å, 49.62 deg, I 48
- d = 1.784 Å, 51.22 deg, I 13
- d = 1.485 Å, 62.55 deg, I 14

Cell and atoms:
```
12
Lattice="-3.567 3.567 3.164 3.567 -3.567 3.164 3.567 3.567 -3.164" Properties=species:S:1:pos:R:3 pbc="T T T"
Ca 0.000 0.000 0.000
Ca 0.000 3.567 1.582
B 0.000 0.000 3.164
As 3.567 0.000 1.582
O 2.252 -0.191 0.487
O 4.882 0.191 0.487
O 3.414 2.394 -0.833
O 3.759 -1.315 2.678
O 0.154 1.174 2.331
O 3.376 1.315 2.678
O 1.174 -0.154 3.998
O 2.394 3.721 0.833
```

---

# 3
Diffraction record for SiO2. The X-ray powder pattern is computed, not measured: it uses a crystal structure in the Materials Project, relaxed with GGA-PBE and Cu Kα.
Peak positions follow from Bragg's law for the DFT cell and can differ from measured ones.

The 10 most intense peaks (10° ≤ 2θ ≤ 90°), by angle:
- d = 8.188 Å, 10.80 deg, I 43
- d = 7.511 Å, 11.78 deg, I 18
- d = 5.535 Å, 16.01 deg, I 60
- d = 4.439 Å, 20.00 deg, I 100
- d = 3.414 Å, 26.10 deg, I 47
- d = 2.972 Å, 30.07 deg, I 25
- d = 2.642 Å, 33.94 deg, I 8
- d = 2.452 Å, 36.66 deg, I 11
- d = 1.742 Å, 52.54 deg, I 8
- d = 1.305 Å, 72.41 deg, I 7

Cell and atoms:
```
18
Lattice="5.283 0.000 0.000 0.000 7.511 0.000 0.000 0.000 8.188" Properties=species:S:1:pos:R:3 pbc="T T T"
Si 1.321 0.000 0.929
Si 1.321 2.170 3.233
Si 1.321 5.341 3.233
Si 3.962 0.000 7.260
Si 3.962 2.170 4.955
Si 3.962 5.341 4.955
O 0.000 0.000 0.000
O 0.000 1.780 4.094
O 0.000 5.731 4.094
O 1.321 1.340 1.846
O 1.321 3.755 2.875
O 1.321 6.171 1.846
O 2.642 0.000 0.000
O 2.642 1.780 4.094
O 2.642 5.731 4.094
O 3.962 1.340 6.342
O 3.962 3.755 5.313
O 3.962 6.171 6.342
```